# 1
This entry pairs a crystal structure of Li2P2WO8 with its calculated X-ray diffraction stick pattern. Radiation: Cu Kα, 1.54184 Å. Structure: a cell relaxed with PBE+U.
Intensities are scaled so that the largest is 1000.

Atomic structure:
```
Li2P2WO8
1.0
4.906 0.000 0.000
-2.453 4.249 0.000
0.000 0.000 7.737
Li P W O
2 2 1 8
Direct
0.333 0.667 0.166
0.667 0.333 0.834
0.333 0.667 0.732
0.667 0.333 0.268
0.000 0.000 0.500
0.041 0.682 0.662
0.318 0.359 0.662
0.333 0.667 0.925
0.359 0.041 0.338
0.641 0.959 0.662
0.667 0.333 0.075
0.682 0.641 0.338
0.959 0.318 0.338
```

Largest 10 diffraction maxima, in order of rising 2θ, 2θ from 10° to 90°:
(0 0 1), 7.737 Å, 11.44 deg, I = 886
(1 0 0), 4.249 Å, 20.91 deg, I = 229
(0 1 1), 3.724 Å, 23.89 deg, I = 1000
(0 1 2), 2.860 Å, 31.27 deg, I = 493
(1 1 0), 2.453 Å, 36.64 deg, I = 218
(1 1 1), 2.338 Å, 38.50 deg, I = 144
(1 0 3), 2.205 Å, 40.93 deg, I = 209
(2 0 1), 2.048 Å, 44.21 deg, I = 178
(0 2 2), 1.862 Å, 48.92 deg, I = 143
(3 -2 1), 1.572 Å, 58.72 deg, I = 160

=====

# 2
This entry pairs a crystal structure of LiP3W2O13 with its calculated X-ray diffraction stick pattern. Radiation: Cu Kα, 1.54184 Å. Structure: a cell relaxed with PBE+U.
Intensities are scaled so that the largest is 1000.

Atomic structure:
```
LiP3W2O13
1.0
6.467 0.000 0.000
1.240 7.394 0.000
0.885 2.828 10.884
Li P W O
2 6 4 26
Direct
0.235 0.434 0.205
0.765 0.566 0.795
0.238 0.074 0.108
0.241 0.199 0.666
0.382 0.526 0.692
0.618 0.474 0.308
0.759 0.801 0.334
0.762 0.926 0.892
0.259 0.805 0.404
0.275 0.789 0.914
0.725 0.211 0.086
0.741 0.195 0.596
0.030 0.269 0.605
0.034 0.206 0.128
0.192 0.032 0.420
0.229 0.015 0.988
0.250 0.621 0.055
0.254 0.648 0.584
0.256 0.005 0.751
0.263 0.345 0.746
0.277 0.898 0.214
0.368 0.614 0.801
0.387 0.538 0.339
0.409 0.201 0.099
0.424 0.217 0.571
0.576 0.783 0.429
0.591 0.799 0.901
0.613 0.462 0.661
0.632 0.386 0.199
0.723 0.102 0.786
0.737 0.655 0.254
0.744 0.995 0.249
0.746 0.352 0.416
0.750 0.379 0.945
0.771 0.985 0.012
0.808 0.968 0.580
0.966 0.794 0.872
0.970 0.731 0.395
```

Largest 10 diffraction maxima, in order of rising 2θ, 2θ from 10° to 90°:
(0 1 0), 7.157 Å, 12.37 deg, I = 255
(1 1 0), 5.161 Å, 17.18 deg, I = 969
(0 1 2), 4.977 Å, 17.82 deg, I = 764
(1 -1 0), 4.439 Å, 20.00 deg, I = 395
(1 0 2), 4.217 Å, 21.07 deg, I = 573
(0 1 -2), 3.886 Å, 22.88 deg, I = 1000
(0 2 2), 3.409 Å, 26.14 deg, I = 481
(2 0 0), 3.187 Å, 28.00 deg, I = 600
(1 3 2), 2.401 Å, 37.46 deg, I = 319
(1 1 -4), 2.219 Å, 40.66 deg, I = 260